This entry pairs a crystal structure of Li7Mn4CoO12 with its simulated powder X-ray diffraction pattern. Radiation: Cu Ka. Structure: a GGA+U-relaxed structure.

Crystal structure
```
data_Li7Mn4CoO12
_space_group_name_H-M_alt 'P 1'
_space_group_IT_number 1
_space_group_name_Hall 'P 1'
_cell_length_a 5.0626
_cell_length_b 7.7735
_cell_length_c 11.5447
_cell_angle_alpha 95.38
_cell_angle_beta 99.29
_cell_angle_gamma 102.89
loop_
_atom_site_label
_atom_site_type_symbol
_atom_site_fract_x
_atom_site_fract_y
_atom_site_fract_z
_atom_site_occupancy
Li1 Li 0.0000 0.0000 0.0000 1
Li2 Li 0.0697 0.1614 0.5832 1
Li3 Li 0.1662 0.3207 0.1693 1
Li4 Li 0.2497 0.5008 0.7466 1
Li5 Li 0.2523 0.0009 0.2490 1
Li6 Li 0.3414 0.6761 0.3340 1
Li7 Li 0.4201 0.8412 0.9153 1
Li8 Li 0.5000 0.0000 0.5000 1
Li9 Li 0.5799 0.1588 0.0847 1
Li10 Li 0.6586 0.3239 0.6660 1
Li11 Li 0.7477 0.9991 0.7510 1
Li12 Li 0.7503 0.4992 0.2534 1
Li13 Li 0.8338 0.6793 0.8307 1
Li14 Li 0.9303 0.8386 0.4168 1
Mn1 Mn 0.0874 0.6683 0.0841 1
Mn2 Mn 0.1621 0.8364 0.6680 1
Mn3 Mn 0.3251 0.1628 0.8349 1
Mn4 Mn 0.4183 0.3296 0.4187 1
Mn5 Mn 0.5817 0.6704 0.5813 1
Mn6 Mn 0.6749 0.8372 0.1651 1
Mn7 Mn 0.8379 0.1636 0.3320 1
Mn8 Mn 0.9126 0.3317 0.9159 1
Co1 Co 0.0000 0.5000 0.5000 1
Co2 Co 0.5000 0.5000 0.0000 1
O1 O 0.0144 0.2576 0.7684 1
O2 O 0.0927 0.3972 0.3370 1
O3 O 0.1039 0.9367 0.8402 1
O4 O 0.1425 0.5757 0.9268 1
O5 O 0.1700 0.1021 0.4165 1
O6 O 0.2345 0.2524 0.9880 1
O7 O 0.2758 0.7471 0.4999 1
O8 O 0.3428 0.8930 0.0852 1
O9 O 0.3521 0.4266 0.5736 1
O10 O 0.3852 0.0814 0.6822 1
O11 O 0.4113 0.6018 0.1615 1
O12 O 0.4862 0.7434 0.7319 1
O13 O 0.5138 0.2566 0.2681 1
O14 O 0.5887 0.3982 0.8385 1
O15 O 0.6148 0.9186 0.3178 1
O16 O 0.6479 0.5734 0.4264 1
O17 O 0.6572 0.1070 0.9148 1
O18 O 0.7242 0.2529 0.5001 1
O19 O 0.7655 0.7476 0.0120 1
O20 O 0.8300 0.8979 0.5835 1
O21 O 0.8575 0.4243 0.0732 1
O22 O 0.8961 0.0633 0.1598 1
O23 O 0.9073 0.6028 0.6630 1
O24 O 0.9856 0.7424 0.2316 1
```

Peak list (12 most intense, 2θ = 15–90°, in order of falling intensity)
d [Å], Position (°2θ), I/Imax
4.836, 18.35, 100
2.068, 43.77, 57
2.110, 42.87, 30
2.490, 36.07, 25
1.474, 63.07, 16
2.532, 35.45, 15
1.597, 57.71, 10
1.915, 47.49, 9
1.479, 62.84, 8
1.480, 62.77, 8
1.470, 63.27, 8
1.455, 63.99, 7

***

This entry pairs a crystal structure of Li6Mn3CoO10 with its simulated powder X-ray diffraction pattern. Radiation: Cu Ka. Structure: a GGA+U-relaxed structure.

Crystal structure
```
data_Li6Mn3CoO10
_space_group_name_H-M_alt 'P 1'
_space_group_IT_number 1
_space_group_name_Hall 'P 1'
_cell_length_a 5.1112
_cell_length_b 5.1112
_cell_length_c 13.0568
_cell_angle_alpha 101.80
_cell_angle_beta 101.80
_cell_angle_gamma 32.71
loop_
_atom_site_label
_atom_site_type_symbol
_atom_site_fract_x
_atom_site_fract_y
_atom_site_fract_z
_atom_site_occupancy
Li1 Li 0.0000 0.0000 0.0000 1
Li2 Li 0.2018 0.2018 0.4200 1
Li3 Li 0.4065 0.4065 0.8033 1
Li4 Li 0.5010 0.5010 0.5089 1
Li5 Li 0.5966 0.5966 0.2168 1
Li6 Li 0.8004 0.8004 0.5968 1
Mn1 Mn 0.1045 0.1045 0.6982 1
Mn2 Mn 0.2978 0.2978 0.1076 1
Mn3 Mn 0.8936 0.8936 0.3205 1
Co1 Co 0.7061 0.7061 0.9026 1
O1 O 0.0653 0.0653 0.8495 1
O2 O 0.1527 0.1527 0.5694 1
O3 O 0.2588 0.2588 0.2683 1
O4 O 0.3484 0.3484 0.9514 1
O5 O 0.4720 0.4720 0.6628 1
O6 O 0.5266 0.5266 0.3526 1
O7 O 0.6621 0.6621 0.0583 1
O8 O 0.7388 0.7388 0.7518 1
O9 O 0.8498 0.8498 0.4494 1
O10 O 0.9315 0.9315 0.1638 1
```

Peak list (12 most intense, 2θ = 15–90°, in order of falling intensity)
d [Å], Position (°2θ), I/Imax
4.838, 18.34, 100
2.061, 43.92, 60
2.118, 42.69, 31
2.477, 36.27, 30
1.476, 62.98, 23
1.479, 62.83, 16
2.551, 35.18, 14
1.595, 57.79, 9
4.792, 18.52, 9
1.439, 64.78, 8
1.906, 47.71, 8
1.190, 80.73, 7

***

This entry pairs a crystal structure of Li4MnCo2O7 with its simulated powder X-ray diffraction pattern. Radiation: Cu Ka. Structure: a GGA+U-relaxed structure.

Crystal structure
```
data_Li4MnCo2O7
_space_group_name_H-M_alt 'P 1'
_space_group_IT_number 1
_space_group_name_Hall 'P 1'
_cell_length_a 7.7850
_cell_length_b 7.7850
_cell_length_c 12.8287
_cell_angle_alpha 118.25
_cell_angle_beta 118.25
_cell_angle_gamma 21.68
loop_
_atom_site_label
_atom_site_type_symbol
_atom_site_fract_x
_atom_site_fract_y
_atom_site_fract_z
_atom_site_occupancy
Li1 Li 0.0000 0.0000 0.0000 1
Li2 Li 0.0715 0.0715 0.3553 1
Li3 Li 0.2077 0.2077 0.0680 1
Li4 Li 0.3598 0.3598 0.7939 1
Li5 Li 0.5000 0.5000 0.5000 1
Li6 Li 0.6402 0.6402 0.2061 1
Li7 Li 0.7923 0.7923 0.9320 1
Li8 Li 0.9285 0.9285 0.6447 1
Mn1 Mn 0.4300 0.4300 0.1365 1
Mn2 Mn 0.5700 0.5700 0.8635 1
Co1 Co 0.1425 0.1425 0.7151 1
Co2 Co 0.2858 0.2858 0.4282 1
Co3 Co 0.7142 0.7142 0.5718 1
Co4 Co 0.8575 0.8575 0.2849 1
O1 O 0.0245 0.0245 0.1761 1
O2 O 0.1134 0.1134 0.5410 1
O3 O 0.1645 0.1645 0.8855 1
O4 O 0.2572 0.2572 0.2539 1
O5 O 0.3134 0.3134 0.6024 1
O6 O 0.3943 0.3943 0.9790 1
O7 O 0.4553 0.4553 0.3093 1
O8 O 0.5447 0.5447 0.6907 1
O9 O 0.6057 0.6057 0.0210 1
O10 O 0.6866 0.6866 0.3976 1
O11 O 0.7428 0.7428 0.7461 1
O12 O 0.8355 0.8355 0.1145 1
O13 O 0.8866 0.8866 0.4590 1
O14 O 0.9755 0.9755 0.8239 1
```

Peak list (12 most intense, 2θ = 15–90°, in order of falling intensity)
d [Å], Position (°2θ), I/Imax
4.823, 18.40, 100
2.077, 43.57, 57
2.083, 43.44, 28
2.500, 35.92, 26
1.473, 63.10, 23
1.468, 63.34, 15
2.508, 35.80, 14
1.909, 47.63, 13
2.397, 37.52, 11
1.602, 57.52, 10
1.405, 66.57, 9
1.464, 63.54, 8